This entry pairs a crystal structure of Tb2Y5Er12 with its calculated PXRD pattern. Radiation: Cu Kα X-rays. Structure: a crystal structure in Alexandria, relaxed with GGA-PBE.

Structural model:
a = 6.1162 Å, b = 9.3471 Å, c = 10.5852 Å
α = 100.99°, β = 95.55°, γ = 90.09°
Space group P-1 (No. 2)
Symmetry-distinct sites (fractional):
1 Tb 0.0804 0.3168 0.4732 (multiplicity 2)
2 Y 0.2367 0.9472 0.4202 (multiplicity 2)
3 Y 0.3409 0.3691 0.0531 (multiplicity 2)
4 Y 0.5000 0.0000 0.0000 (multiplicity 1)
5 Er 0.0248 0.1052 0.1579 (multiplicity 2)
6 Er 0.1312 0.5260 0.7887 (multiplicity 2)
7 Er 0.1829 0.7369 0.1047 (multiplicity 2)
8 Er 0.2900 0.1590 0.7373 (multiplicity 2)
9 Er 0.3952 0.5793 0.3686 (multiplicity 2)
10 Er 0.4462 0.7889 0.6840 (multiplicity 2)

Most intense lines, 5° ≤ 2θ ≤ 70°, by angle:
d [Å]	two_theta	intensity
5.032	17.63	1
2.884	31.01	100
2.880	31.06	33
2.496	35.98	67
1.766	51.78	40
1.763	51.86	8
1.506	61.57	33
1.504	61.66	23
1.442	64.63	8
1.440	64.71	8